Record 1
The following is a theoretical X-ray powder pattern of AgSbAs2O8. It was derived from the PBE geometry in Alexandria, using copper Kα.
Lines closer than 0.1° are merged.

Top 10 peaks for 10° ≤ 2θ ≤ 80°, in order of rising 2θ:
2θ (°)	d (Å)	I_rel
25.15	3.541	100
35.02	2.562	30
36.69	2.449	34
45.00	2.014	18
51.62	1.771	11
57.10	1.613	19
59.41	1.556	17
61.71	1.503	7
64.99	1.435	11
66.07	1.414	9

Structural model:
```
data_AgSbAs2O8
_chemical_formula_sum 'Ag3 Sb3 As6 O24'
_cell_length_a 4.8987
_cell_length_b 4.8987
_cell_length_c 25.7202
_cell_angle_alpha 90.00
_cell_angle_beta 90.00
_cell_angle_gamma 120.00
_space_group_name_H-M_alt 'R 3 2'
_space_group_IT_number 155
_space_group_name_Hall 'R 3 2"'
loop_
_atom_site_label
_atom_site_fract_x
_atom_site_fract_y
_atom_site_fract_z
_atom_site_occupancy
Ag1 0.0000 0.0000 0.0000 1
Sb1 0.0000 0.0000 0.5000 1
As1 0.0000 0.0000 0.2428 1
O1 0.0000 0.0000 0.3077 1
O2 0.0095 0.3606 0.1158 1
```


Record 2
The following is a theoretical X-ray powder pattern of TmAg2AsO4. It was derived from the PBE geometry in Alexandria, using copper Kα.
Lines closer than 0.1° are merged.

Top 10 peaks for 10° ≤ 2θ ≤ 80°, in order of rising 2θ:
2θ (°)	d (Å)	I_rel
29.81	2.998	100
30.46	2.935	43
41.68	2.167	7
43.62	2.075	16
52.49	1.743	21
53.72	1.706	36
61.91	1.499	13
68.80	1.364	8
71.60	1.318	8
71.95	1.312	8

Structural model:
```
data_TmAg2AsO4
_chemical_formula_sum 'Tm2 Ag4 As2 O8'
_cell_length_a 5.8692
_cell_length_b 5.8692
_cell_length_c 8.6687
_cell_angle_alpha 90.00
_cell_angle_beta 90.00
_cell_angle_gamma 90.00
_space_group_name_H-M_alt 'I -4'
_space_group_IT_number 82
_space_group_name_Hall 'I -4'
loop_
_atom_site_label
_atom_site_fract_x
_atom_site_fract_y
_atom_site_fract_z
_atom_site_occupancy
Tm1 0.0000 0.0000 0.0000 1
Ag1 0.0000 0.0000 0.5000 1
Ag2 0.0000 0.5000 0.7500 1
As1 0.0000 0.5000 0.2500 1
O1 0.0992 0.2837 0.1349 1
```